Record 1
For MgMnSb4O12, a cell relaxed with GGA+U gives the theoretical X-ray diffraction stick pattern in this record (Cu Kα, 1.54184 Å).
Intensities are scaled so that the largest is 100.

Structure:
Cell lengths 5.2870, 5.4458, 7.6857 Å; angles 92.79, 90.17, 90.04 degrees
Element x y z (fractional)
Mg 0.0000 0.0000 0.0000
Mn 0.4904 0.5326 0.9822
Sb 0.9996 0.5739 0.2357
Sb 0.4941 0.0638 0.7066
Sb 0.4955 0.0804 0.2342
Sb 0.9973 0.5637 0.7053
O 0.1001 0.6064 0.9729
O 0.1653 0.9085 0.2530
O 0.1778 0.2480 0.6692
O 0.3196 0.7431 0.6782
O 0.3334 0.4132 0.2567
O 0.3773 0.0988 0.9720
O 0.6246 0.0661 0.4681
O 0.6967 0.3684 0.7807
O 0.7028 0.7847 0.1461
O 0.7998 0.8726 0.7863
O 0.8023 0.2746 0.1443
O 0.8651 0.5710 0.4676

Principal peaks in the range 15° ≤ 2θ ≤ 90°, low angle first:
| hkl | d (Å) | intensity |
| --- | --- | --- |
| 0 0 2 | 3.838 | 51 |
| 1 1 0 | 3.791 | 100 |
| 1 -1 2 | 2.744 | 60 |
| 0 2 0 | 2.720 | 31 |
| -1 1 2 | 2.653 | 44 |
| 2 0 0 | 2.644 | 23 |
| 2 0 2 | 2.172 | 12 |
| 0 0 4 | 1.919 | 15 |
| 2 2 0 | 1.896 | 28 |
| 1 -1 4 | 1.736 | 13 |
| 1 -3 0 | 1.715 | 15 |
| 1 -3 2 | 1.593 | 11 |

=====

Record 2
For MgMnSb4O12, a cell relaxed with GGA+U gives the theoretical X-ray diffraction stick pattern in this record (Cu Kα, 1.54184 Å).
Intensities are scaled so that the largest is 100.

Structure:
Cell lengths 5.2985, 5.5442, 7.6273 Å; angles 87.33, 89.98, 89.95 degrees
Element x y z (fractional)
Mg 0.0000 0.0000 0.0000
Mn 0.9956 0.9759 0.4880
Sb 0.0068 0.4143 0.7132
Sb 0.4967 0.9021 0.2145
Sb 0.5034 0.8960 0.7191
Sb 0.9959 0.4244 0.2120
O 0.1128 0.3771 0.4604
O 0.1805 0.7263 0.1452
O 0.1856 0.0836 0.7668
O 0.2781 0.1883 0.1434
O 0.3097 0.5974 0.7764
O 0.3788 0.8986 0.4649
O 0.6350 0.8949 0.9657
O 0.6944 0.6068 0.2786
O 0.7204 0.1836 0.6456
O 0.8142 0.0929 0.2527
O 0.8146 0.7125 0.6518
O 0.8906 0.3698 0.9622

Principal peaks in the range 15° ≤ 2θ ≤ 90°, low angle first:
| hkl | d (Å) | intensity |
| --- | --- | --- |
| 1 1 0 | 3.829 | 100 |
| 0 0 2 | 3.810 | 48 |
| 0 2 0 | 2.769 | 26 |
| 1 1 2 | 2.745 | 55 |
| 1 1 -2 | 2.658 | 43 |
| 2 0 0 | 2.649 | 21 |
| 2 2 0 | 1.914 | 26 |
| 1 -3 0 | 1.743 | 16 |
| 2 2 2 | 1.733 | 16 |
| 3 -1 0 | 1.683 | 16 |
| 2 0 4 | 1.547 | 21 |
| 3 1 -2 | 1.531 | 16 |

=====

Record 3
For MgMn5SbO12, a cell relaxed with GGA+U gives the theoretical X-ray diffraction stick pattern in this record (Cu Kα, 1.54184 Å).
Intensities are scaled so that the largest is 100.

Structure:
Cell lengths 5.1809, 5.1918, 9.9894 Å; angles 81.64, 86.54, 62.86 degrees
Element x y z (fractional)
Mg 0.0000 0.0000 0.0000
Mn 0.2963 0.7699 0.7420
Mn 0.6328 0.0997 0.7532
Mn 0.6354 0.6265 0.2457
Mn 0.9634 0.4302 0.7533
Mn 0.9668 0.9523 0.2827
Sb 0.3039 0.2914 0.2445
O 0.0025 0.2638 0.1395
O 0.2828 0.0704 0.8505
O 0.3002 0.9425 0.3593
O 0.3038 0.4470 0.6629
O 0.3101 0.6460 0.1335
O 0.6088 0.3007 0.3520
O 0.6423 0.7830 0.6627
O 0.6662 0.9779 0.1526
O 0.6865 0.3449 0.8662
O 0.9208 0.1702 0.6504
O 0.9653 0.7548 0.8515
O 0.9769 0.5723 0.3486

Principal peaks in the range 15° ≤ 2θ ≤ 90°, low angle first:
| hkl | d (Å) | intensity |
| --- | --- | --- |
| 0 0 2 | 4.942 | 100 |
| -1 1 1 | 2.656 | 13 |
| 1 2 0 | 2.565 | 9 |
| 1 -1 1 | 2.548 | 11 |
| 2 1 1 | 2.540 | 10 |
| 2 1 -1 | 2.456 | 11 |
| -1 1 3 | 2.175 | 10 |
| 1 2 -2 | 2.153 | 8 |
| 2 1 3 | 2.102 | 8 |
| 2 1 -3 | 1.969 | 9 |
| 1 2 4 | 1.924 | 9 |
| 3 0 0 | 1.536 | 9 |